[1]
Simulated X-ray diffraction stick pattern
Compound: LaAl3Au10
Radiation: a wavelength of 1.5418 Å
Structure: DFT lattice parameters and positions (PBE)

Structure:
```
data_LaAl3Au10
_symmetry_space_group_name_H-M 'F m -3 m'
_symmetry_Int_Tables_number 225
_symmetry_space_group_name_Hall '-F 4 2 3'
_cell_length_a 13.094
_cell_length_b 13.094
_cell_length_c 13.094
_cell_angle_alpha 90.00
_cell_angle_beta 90.00
_cell_angle_gamma 90.00
loop_
_atom_site_label
_atom_site_fract_x
_atom_site_fract_y
_atom_site_fract_z
La1 0.250 0.250 0.250
Al1 0.000 0.000 0.237
Au1 0.000 0.172 0.328
Au2 0.115 0.115 0.115
```

Main lines, in order of rising 2θ (15 to 90 degrees two-theta):
2θ 30.53, I = 34, (4 2 0)
2θ 35.63, I = 100, (3 3 3)
2θ 38.91, I = 18, (4 4 0)
2θ 40.77, I = 49, (5 3 1)
2θ 59.95, I = 26, (6 6 0)
2θ 70.46, I = 16, (8 4 4)

[2]
Simulated X-ray diffraction stick pattern
Compound: LaMgAlAu6
Radiation: a wavelength of 1.5418 Å
Structure: DFT lattice parameters and positions (PBE)

Structure:
```
data_LaMgAlAu6
_symmetry_space_group_name_H-M 'I m m a'
_symmetry_Int_Tables_number 74
_symmetry_space_group_name_Hall '-I 2b 2'
_cell_length_a 7.473
_cell_length_b 9.432
_cell_length_c 10.838
_cell_angle_alpha 90.00
_cell_angle_beta 90.00
_cell_angle_gamma 90.00
loop_
_atom_site_label
_atom_site_fract_x
_atom_site_fract_y
_atom_site_fract_z
La1 0.000 0.250 0.222
Mg1 0.250 0.250 0.750
Al1 0.000 0.000 0.000
Au1 0.000 0.250 0.536
Au2 0.000 0.250 0.927
Au3 0.200 0.012 0.373
```

Main lines, in order of rising 2θ (15 to 90 degrees two-theta):
2θ 30.52, I = 100, (2 2 0)
2θ 33.47, I = 19, (1 2 3)
2θ 35.86, I = 26, (2 1 3)
2θ 38.17, I = 40, (0 4 0)
2θ 38.31, I = 42, (0 2 4)
2θ 41.15, I = 24, (2 0 4)

[3]
Simulated X-ray diffraction stick pattern
Compound: LaAl3PdAu
Radiation: a wavelength of 1.5418 Å
Structure: DFT lattice parameters and positions (PBE)

Structure:
```
data_LaAl3PdAu
_symmetry_space_group_name_H-M 'C m c m'
_symmetry_Int_Tables_number 63
_symmetry_space_group_name_Hall '-C 2c 2'
_cell_length_a 6.098
_cell_length_b 13.281
_cell_length_c 5.966
_cell_angle_alpha 90.00
_cell_angle_beta 90.00
_cell_angle_gamma 90.00
loop_
_atom_site_label
_atom_site_fract_x
_atom_site_fract_y
_atom_site_fract_z
La1 0.000 0.209 0.250
Al1 0.000 0.373 0.750
Al2 0.214 0.000 0.000
Pd1 0.000 0.416 0.250
Au1 0.000 0.161 0.750
```

Main lines, in order of rising 2θ (15 to 90 degrees two-theta):
2θ 20.01, I = 79, (0 2 1)
2θ 24.85, I = 100, (1 3 0)
2θ 29.29, I = 90, (2 0 0)
2θ 29.96, I = 83, (0 0 2)
2θ 39.99, I = 77, (1 5 1)
2θ 42.39, I = 100, (2 0 2)

[4]
Simulated X-ray diffraction stick pattern
Compound: LaPm2AlAu4
Radiation: a wavelength of 1.5418 Å
Structure: DFT lattice parameters and positions (PBE)

Structure:
```
data_LaPm2AlAu4
_symmetry_space_group_name_H-M 'R -3 m'
_symmetry_Int_Tables_number 166
_symmetry_space_group_name_Hall '-R 3 2"'
_cell_length_a 5.1157
_cell_length_b 5.1157
_cell_length_c 25.6261
_cell_angle_alpha 90.00
_cell_angle_beta 90.00
_cell_angle_gamma 120.00
loop_
_atom_site_label
_atom_site_fract_x
_atom_site_fract_y
_atom_site_fract_z
La1 0.0000 0.0000 0.0000
Pm1 0.0000 0.0000 0.2366
Al1 0.0000 0.0000 0.5000
Au1 0.0000 0.0000 0.1191
Au2 0.0000 0.0000 0.3936
```

Main lines, in order of rising 2θ (15 to 90 degrees two-theta):
2θ 34.55, I = 68, (0 1 8)
2θ 35.08, I = 100, (1 1 0)
2θ 41.14, I = 16, (1 1 6)
2θ 50.06, I = 24, (2 0 8)
2θ 62.60, I = 25, (1 2 8)
2θ 62.94, I = 19, (3 0 0)

> Number 2 is which compound?

LaMgAlAu6

> Which formula does entry 1 have?

LaAl3Au10